[1]
Diffraction record for Ta2BeO6. The XRD peak list is computed, not measured: it uses the PBE geometry in Alexandria and Cu Kα X-rays.
Kinematic intensities with the Lorentz-polarization factor, no thermal factor.

Top 8 peaks for 2θ = 10–80°, sorted by position:
| Position (°2θ) | Rel. int. |
| --- | --- |
| 19.49 | 87 |
| 23.71 | 84 |
| 23.93 | 100 |
| 29.49 | 45 |
| 31.05 | 53 |
| 31.18 | 43 |
| 33.94 | 56 |
| 44.62 | 36 |

Atomic structure:
```
36
Lattice="11.4747 0.0000 0.0000 0.0000 7.4363 0.0000 0.0000 0.0000 4.9614" Properties=species:S:1:pos:R:3 pbc="T T T"
Ta 1.5305 0.0210 0.5490
Ta 1.5305 3.6972 0.5490
Ta 4.2069 3.7391 3.0297
Ta 4.2069 7.4154 3.0297
Ta 7.2678 0.0210 1.9317
Ta 7.2678 3.6972 1.9317
Ta 9.9442 3.7391 4.4124
Ta 9.9442 7.4154 4.4124
Be 0.7041 5.5772 2.9901
Be 5.0332 1.8591 0.5094
Be 6.4414 5.5772 4.4520
Be 10.7706 1.8591 1.9713
O 0.4119 4.2821 3.8473
O 0.4119 6.8724 3.8473
O 1.1639 5.5772 1.4833
O 1.6376 1.8591 4.9589
O 2.6268 0.4759 2.0676
O 2.6268 3.2423 2.0676
O 3.1105 4.1941 4.5483
O 3.1105 6.9604 4.5483
O 4.0997 5.5772 2.4782
O 4.5734 1.8591 3.9640
O 5.3255 0.5639 1.3667
O 5.3255 3.1542 1.3667
O 6.1492 4.2821 3.5947
O 6.1492 6.8724 3.5947
O 6.9013 5.5772 0.9974
O 7.3750 1.8591 2.4832
O 8.3642 0.4759 0.4131
O 8.3642 3.2423 0.4131
O 8.8478 4.1941 2.8938
O 8.8478 6.9604 2.8938
O 9.8370 5.5772 0.0025
O 10.3107 1.8591 3.4781
O 11.0628 0.5639 1.1140
O 11.0628 3.1542 1.1140
```



[2]
Diffraction record for Be2Zn2TeO6. The XRD peak list is computed, not measured: it uses the PBE geometry in Alexandria and Cu Kα X-rays.
Kinematic intensities with the Lorentz-polarization factor, no thermal factor.

Top 8 peaks for 2θ = 10–80°, sorted by position:
| Position (°2θ) | Rel. int. |
| --- | --- |
| 14.00 | 67 |
| 24.22 | 100 |
| 34.41 | 46 |
| 34.62 | 69 |
| 37.32 | 28 |
| 42.53 | 31 |
| 49.62 | 24 |
| 55.81 | 24 |

Atomic structure:
```
11
Lattice="5.2122 0.0000 0.0000 -2.6061 4.5139 0.0000 0.0000 0.0000 6.3271" Properties=species:S:1:pos:R:3 pbc="T T T"
Be 0.0000 3.0093 1.8078
Be 2.6061 1.5046 4.5193
Zn 0.0000 3.0093 4.7070
Zn 2.6061 1.5046 1.6201
Te 0.0000 0.0000 3.1636
O -1.5489 3.0842 1.8514
O 0.7096 1.6304 1.8514
O 1.7667 0.2007 4.4757
O 0.8394 4.3132 1.8514
O 1.8966 2.8835 4.4757
O 4.1550 1.4297 4.4757
```



[3]
Diffraction record for Be2ZnTeO6. The XRD peak list is computed, not measured: it uses the PBE geometry in Alexandria and Cu Kα X-rays.
Kinematic intensities with the Lorentz-polarization factor, no thermal factor.

Top 8 peaks for 2θ = 10–80°, sorted by position:
| Position (°2θ) | Rel. int. |
| --- | --- |
| 19.40 | 58 |
| 19.53 | 100 |
| 28.84 | 32 |
| 29.51 | 37 |
| 35.23 | 39 |
| 35.87 | 21 |
| 39.63 | 22 |
| 42.67 | 48 |

Atomic structure:
```
20
Lattice="4.9348 -4.2295 0.0000 4.9348 4.2295 0.0000 -2.1565 0.0000 5.0956" Properties=species:S:1:pos:R:3 pbc="T T T"
Be 1.6578 0.6208 0.7896
Be 0.5796 -0.6208 3.3374
Be 7.1335 0.6208 1.7582
Be 6.0553 -0.6208 4.3060
Zn 3.3174 0.8267 3.8217
Zn 4.3957 -0.8267 1.2739
Te 4.3957 2.3302 1.2739
Te 3.3174 -2.3302 3.8217
O -0.2560 0.5140 4.1796
O 2.0824 2.2943 4.4670
O 0.8222 -0.5140 1.6318
O 3.0818 0.8478 1.5744
O 4.5525 2.2943 3.1765
O 2.0035 -0.8478 4.1222
O 5.7096 0.8478 0.9734
O 3.1606 -2.2943 1.9192
O 4.6314 -0.8478 3.5212
O 6.8909 0.5140 3.4638
O 5.6307 -2.2943 0.6287
O 7.9691 -0.5140 0.9160
```



[4]
Diffraction record for TiBe2O4. The XRD peak list is computed, not measured: it uses the PBE geometry in Alexandria and Cu Kα X-rays.
Kinematic intensities with the Lorentz-polarization factor, no thermal factor.

Top 8 peaks for 2θ = 10–80°, sorted by position:
| Position (°2θ) | Rel. int. |
| --- | --- |
| 22.67 | 69 |
| 30.67 | 56 |
| 32.28 | 13 |
| 38.48 | 100 |
| 47.75 | 14 |
| 56.57 | 17 |
| 63.87 | 31 |
| 67.56 | 14 |

Atomic structure:
```
7
Lattice="3.9216 0.0000 0.0000 0.0000 3.9216 0.0000 0.0000 0.0000 4.3576" Properties=species:S:1:pos:R:3 pbc="T T T"
Ti 0.0000 0.0000 0.0000
Be 0.0000 1.9608 2.1788
Be 1.9608 0.0000 2.1788
O 0.9639 0.9639 1.2423
O 0.9639 2.9577 3.1153
O 2.9577 0.9639 3.1153
O 2.9577 2.9577 1.2423
```